Structure and calculated X-ray powder pattern of LiGdSe2 (a PBE-relaxed structure; copper Kα).
Neutral-atom scattering factors, no anomalous dispersion.

Top 10 peaks for 2θ = 10–90°, by angle:
2θ 15.81, d = 5.607 Å, intensity 53; 2θ 21.54, d = 4.126 Å, intensity 52; 2θ 30.64, d = 2.918 Å, intensity 100; 2θ 31.92, d = 2.803 Å, intensity 45; 2θ 34.66, d = 2.588 Å, intensity 32; 2θ 38.84, d = 2.319 Å, intensity 23; 2θ 43.89, d = 2.063 Å, intensity 37; 2θ 44.84, d = 2.021 Å, intensity 70; 2θ 55.29, d = 1.662 Å, intensity 37; 2θ 81.34, d = 1.183 Å, intensity 24

Crystal structure
a b c (Å): 4.1261 4.1261 5.6066
angles (deg): 90.00 90.00 90.00
Space group P4/mmm (No. 123)
Inequivalent atoms, fractional coordinates:
Li: 0.0000 0.0000 0.0000
Gd: 0.5000 0.5000 0.5000
Se: 0.0000 0.0000 0.5000
Se: 0.5000 0.5000 0.0000

***

Structure and calculated X-ray powder pattern of Sm2B4O9 (a PBE-relaxed structure; copper Kα).
Neutral-atom scattering factors, no anomalous dispersion.

Top 10 peaks for 2θ = 10–90°, by angle:
2θ 12.07, d = 7.331 Å, intensity 41; 2θ 17.34, d = 5.114 Å, intensity 46; 2θ 22.94, d = 3.877 Å, intensity 47; 2θ 26.17, d = 3.406 Å, intensity 41; 2θ 28.31, d = 3.152 Å, intensity 57; 2θ 28.75, d = 3.105 Å, intensity 77; 2θ 29.50, d = 3.028 Å, intensity 100; 2θ 31.19, d = 2.868 Å, intensity 41; 2θ 35.27, d = 2.545 Å, intensity 34; 2θ 49.00, d = 1.859 Å, intensity 34

Crystal structure
a b c (Å): 6.2753 6.5685 7.6130
angles (deg): 102.10 96.91 102.46
Space group P-1 (No. 2)
Inequivalent atoms, fractional coordinates:
Sm: 0.0471 0.0923 0.2842
Sm: 0.3869 0.6767 0.3576
B: 0.1262 0.3576 0.6535
B: 0.1616 0.6775 0.9255
B: 0.2287 0.3351 0.9809
B: 0.4950 0.1499 0.1865
O: 0.0046 0.7839 0.0162
O: 0.0430 0.5369 0.7489
O: 0.0755 0.8136 0.4402
O: 0.2604 0.2654 0.7915
O: 0.2717 0.5679 0.0382
O: 0.2776 0.4059 0.5258
O: 0.3140 0.8623 0.8816
O: 0.3595 0.2812 0.1386
O: 0.4348 0.0499 0.3213

***

Structure and calculated X-ray powder pattern of Ca2TiO4 (a PBE-relaxed structure; copper Kα).
Neutral-atom scattering factors, no anomalous dispersion.

Top 10 peaks for 2θ = 10–90°, by angle:
2θ 14.78, d = 5.993 Å, intensity 39; 2θ 32.27, d = 2.774 Å, intensity 100; 2θ 32.85, d = 2.726 Å, intensity 97; 2θ 44.50, d = 2.036 Å, intensity 23; 2θ 44.95, d = 2.017 Å, intensity 23; 2θ 45.40, d = 1.998 Å, intensity 31; 2θ 47.14, d = 1.928 Å, intensity 70; 2θ 57.16, d = 1.611 Å, intensity 23; 2θ 58.28, d = 1.583 Å, intensity 35; 2θ 67.52, d = 1.387 Å, intensity 30

Crystal structure
a b c (Å): 3.8558 3.8558 11.9860
angles (deg): 90.00 90.00 90.00
Space group I4/mmm (No. 139)
Inequivalent atoms, fractional coordinates:
Ca: 0.0000 0.0000 0.1467
Ti: 0.0000 0.0000 0.5000
O: 0.0000 0.0000 0.3340
O: 0.0000 0.5000 0.0000

***

Structure and calculated X-ray powder pattern of Cu3AsS4 (a PBE-relaxed structure; copper Kα).
Neutral-atom scattering factors, no anomalous dispersion.

Top 10 peaks for 2θ = 10–90°, by angle:
2θ 27.64, d = 3.228 Å, intensity 88; 2θ 28.93, d = 3.087 Å, intensity 56; 2θ 31.27, d = 2.860 Å, intensity 100; 2θ 40.44, d = 2.231 Å, intensity 33; 2θ 48.88, d = 1.863 Å, intensity 66; 2θ 52.76, d = 1.735 Å, intensity 70; 2θ 57.80, d = 1.595 Å, intensity 43; 2θ 59.21, d = 1.561 Å, intensity 10; 2θ 74.76, d = 1.270 Å, intensity 23; 2θ 83.91, d = 1.153 Å, intensity 16

Crystal structure
a b c (Å): 7.4455 6.4622 6.1732
angles (deg): 90.00 90.00 90.00
Space group Pmn2_1 (No. 31)
Inequivalent atoms, fractional coordinates:
Cu: 0.0000 0.1599 0.0000
Cu: 0.2496 0.3286 0.4958
As: 0.0000 0.8301 0.5018
S: 0.0000 0.1600 0.6280
S: 0.0000 0.8275 0.1323
S: 0.2494 0.3381 0.1255

***

Structure and calculated X-ray powder pattern of NdPO4 (a PBE-relaxed structure; copper Kα).
Neutral-atom scattering factors, no anomalous dispersion.

Top 10 peaks for 2θ = 10–90°, by angle:
2θ 18.83, d = 4.712 Å, intensity 47; 2θ 24.75, d = 3.597 Å, intensity 100; 2θ 31.28, d = 2.859 Å, intensity 21; 2θ 33.72, d = 2.658 Å, intensity 64; 2θ 35.28, d = 2.544 Å, intensity 21; 2θ 40.29, d = 2.238 Å, intensity 21; 2θ 47.86, d = 1.901 Å, intensity 21; 2θ 49.61, d = 1.838 Å, intensity 52; 2θ 50.76, d = 1.799 Å, intensity 14; 2θ 62.33, d = 1.490 Å, intensity 15

Crystal structure
a b c (Å): 7.1949 7.1949 6.2343
angles (deg): 90.00 90.00 90.00
Space group I4_1/amd (No. 141, origin choice 2)
Inequivalent atoms, fractional coordinates:
Nd: 0.0000 0.2500 0.3750
P: 0.0000 0.2500 0.8750
O: 0.0000 0.0798 0.7203